Record 1
Diffraction record for BaSr3Mn4O12. The X-ray powder pattern is computed, not measured: it uses a crystal structure in the Materials Project, relaxed with GGA+U and Cu Kα, 1.54184 Å.
No peak broadening, texture or thermal motion is included.

Cell and atoms:
```
BaSr3Mn4O12
1.0
5.5917 0.0000 0.0000
-2.7959 4.8426 0.0000
0.0000 0.0000 9.3360
Ba Sr Mn O
1 3 4 12
direct
0.0000 0.0000 0.0000
0.3333 0.6667 0.2523
0.3333 0.6667 0.7477
0.6667 0.3333 0.5000
0.0000 0.0000 0.3632
0.0000 0.0000 0.6368
0.6667 0.3333 0.1382
0.6667 0.3333 0.8618
0.1512 0.3023 0.5000
0.1512 0.8488 0.5000
0.3372 0.1686 0.2539
0.3372 0.1686 0.7461
0.5163 0.0326 0.0000
0.5163 0.4837 0.0000
0.6977 0.8488 0.5000
0.8314 0.1686 0.2539
0.8314 0.1686 0.7461
0.8314 0.6628 0.2539
0.8314 0.6628 0.7461
0.9674 0.4837 0.0000
```

Principal peaks in the range 15 to 90 degrees two-theta, in order of rising 2θ:
| 2theta | Rel. int. |
| --- | --- |
| 26.52 | 560 |
| 32.01 | 1000 |
| 34.25 | 552 |
| 42.04 | 509 |
| 47.58 | 382 |
| 53.80 | 131 |
| 57.06 | 186 |
| 58.50 | 255 |
| 62.85 | 98 |
| 66.94 | 210 |
| 72.16 | 117 |
| 77.39 | 105 |

Record 2
Diffraction record for MgNi4O8. The X-ray powder pattern is computed, not measured: it uses a crystal structure in the Materials Project, relaxed with GGA+U and Cu Kα, 1.54184 Å.
No peak broadening, texture or thermal motion is included.

Cell and atoms:
```
MgNi4O8
1.0
2.9693 0.0000 0.0000
1.4819 6.4960 0.0000
1.4812 0.0192 6.5028
Mg Ni O
1 4 8
direct
0.0000 0.0000 0.0000
0.1538 0.1758 0.5256
0.3327 0.5221 0.8222
0.6789 0.4733 0.1781
0.8573 0.8199 0.4748
0.0551 0.6200 0.2788
0.3273 0.3155 0.0401
0.3375 0.7159 0.6190
0.3654 0.9598 0.3181
0.6461 0.0359 0.6824
0.6735 0.2799 0.3816
0.6857 0.6789 0.9600
0.9560 0.3757 0.7215
```

Principal peaks in the range 15 to 90 degrees two-theta, in order of rising 2θ:
| 2theta | Rel. int. |
| --- | --- |
| 19.31 | 580 |
| 30.76 | 783 |
| 37.36 | 1000 |
| 42.39 | 257 |
| 51.19 | 282 |
| 51.29 | 285 |
| 62.57 | 147 |
| 62.75 | 176 |
| 62.84 | 174 |
| 71.33 | 125 |
| 73.19 | 167 |
| 73.30 | 145 |

Record 3
Diffraction record for Mg6CrCuO8. The X-ray powder pattern is computed, not measured: it uses a crystal structure in the Materials Project, relaxed with GGA+U and Cu Kα, 1.54184 Å.
No peak broadening, texture or thermal motion is included.

Cell and atoms:
```
Mg6CrCuO8
1.0
4.2335 0.0000 0.0000
0.0000 4.2335 0.0000
0.0000 0.0000 8.7397
Mg Cr Cu O
6 1 1 8
direct
0.0000 0.0000 0.0000
0.0000 0.0000 0.5000
0.0000 0.5000 0.2439
0.0000 0.5000 0.7561
0.5000 0.0000 0.2439
0.5000 0.0000 0.7561
0.5000 0.5000 0.5000
0.5000 0.5000 0.0000
0.0000 0.0000 0.2500
0.0000 0.0000 0.7500
0.0000 0.5000 0.0000
0.0000 0.5000 0.5000
0.5000 0.0000 0.0000
0.5000 0.0000 0.5000
0.5000 0.5000 0.2695
0.5000 0.5000 0.7305
```

Principal peaks in the range 15 to 90 degrees two-theta, in order of rising 2θ:
| 2theta | Rel. int. |
| --- | --- |
| 20.32 | 117 |
| 20.98 | 209 |
| 29.37 | 188 |
| 29.85 | 88 |
| 36.38 | 420 |
| 41.32 | 542 |
| 42.72 | 1000 |
| 60.94 | 584 |
| 62.00 | 281 |
| 72.11 | 74 |
| 74.06 | 132 |
| 77.26 | 260 |

Record 4
Diffraction record for NaLa5Mg4W4O24. The X-ray powder pattern is computed, not measured: it uses a crystal structure in the Materials Project, relaxed with GGA+U and Cu Kα, 1.54184 Å.
No peak broadening, texture or thermal motion is included.

Cell and atoms:
```
NaLa5Mg4W4O24
1.0
5.6232 -5.6032 0.0000
5.6232 5.6032 0.0000
-5.6186 0.0000 7.9696
Na La Mg W O
1 5 4 4 24
direct
0.0000 0.0000 0.0000
0.2339 0.2339 0.4973
0.2341 0.7349 0.5007
0.4925 0.4925 0.9956
0.7317 0.7317 0.4918
0.7349 0.2341 0.5007
0.1072 0.6119 0.7554
0.3521 0.3521 0.2391
0.6119 0.1072 0.7554
0.8574 0.8574 0.2402
0.1087 0.1087 0.7566
0.3484 0.8523 0.2366
0.6147 0.6147 0.7582
0.8523 0.3484 0.2366
0.0131 0.5210 0.4912
0.0853 0.3234 0.6950
0.0869 0.3359 0.2306
0.1140 0.8741 0.7639
0.1415 0.8787 0.3009
0.2197 0.6952 0.0082
0.2692 0.2692 0.9846
0.3234 0.0853 0.6950
0.3359 0.0869 0.2306
0.3747 0.6055 0.7698
0.3834 0.6390 0.3007
0.4495 0.4495 0.5044
0.5210 0.0131 0.4912
0.5794 0.8218 0.6961
0.5880 0.8244 0.2266
0.6055 0.3747 0.7698
0.6390 0.3834 0.3007
0.6952 0.2197 0.0082
0.7564 0.7564 0.9871
0.8218 0.5794 0.6961
0.8244 0.5880 0.2266
0.8741 0.1140 0.7639
0.8787 0.1415 0.3009
0.9511 0.9511 0.5012
```

Principal peaks in the range 15 to 90 degrees two-theta, in order of rising 2θ:
| 2theta | Rel. int. |
| --- | --- |
| 19.34 | 606 |
| 25.06 | 148 |
| 31.82 | 1000 |
| 31.94 | 200 |
| 37.47 | 138 |
| 37.57 | 187 |
| 45.53 | 119 |
| 45.72 | 256 |
| 49.98 | 113 |
| 56.67 | 259 |
| 56.85 | 163 |
| 66.50 | 172 |

Record 5
Diffraction record for V2F7. The X-ray powder pattern is computed, not measured: it uses a crystal structure in the Materials Project, relaxed with GGA+U and Cu Kα, 1.54184 Å.
No peak broadening, texture or thermal motion is included.

Cell and atoms:
```
V2F7
1.0
8.2958 0.0000 0.0000
0.0000 4.7544 0.0000
-0.5773 0.0000 12.7861
V F
8 28
direct
0.0553 0.0000 0.1098
0.1686 0.4922 0.3214
0.3295 0.0013 0.5258
0.3379 0.4722 0.9581
0.6621 0.9722 0.0419
0.6705 0.5013 0.4742
0.8314 0.9922 0.6786
0.9447 0.5000 0.8902
0.0056 0.1703 0.6390
0.0297 0.2357 0.2356
0.1021 0.7293 0.9877
0.1441 0.3029 0.8682
0.1734 0.2450 0.4483
0.1776 0.7297 0.1959
0.2044 0.7519 0.5858
0.2352 0.2370 0.0710
0.3019 0.7768 0.3931
0.3368 0.3105 0.2770
0.3536 0.1999 0.6411
0.3716 0.7050 0.8501
0.4845 0.2634 0.4568
0.4851 0.7022 0.0543
0.5149 0.2022 0.9457
0.5155 0.7634 0.5432
0.6284 0.2050 0.1499
0.6464 0.6999 0.3589
0.6632 0.8105 0.7230
0.6981 0.2768 0.6069
0.7648 0.7370 0.9290
0.7956 0.2519 0.4142
0.8224 0.2297 0.8041
0.8266 0.7450 0.5517
0.8559 0.8029 0.1318
0.8979 0.2293 0.0123
0.9703 0.7357 0.7644
0.9944 0.6703 0.3610
```

Principal peaks in the range 15 to 90 degrees two-theta, in order of rising 2θ:
| 2theta | Rel. int. |
| --- | --- |
| 17.13 | 489 |
| 22.25 | 506 |
| 22.50 | 247 |
| 23.32 | 1000 |
| 25.97 | 307 |
| 29.67 | 638 |
| 29.81 | 484 |
| 30.46 | 244 |
| 39.77 | 270 |
| 41.10 | 302 |
| 52.34 | 287 |
| 53.43 | 399 |